(1)
Starting from the GGA-PBE geometry in Alexandria, the X-ray diffraction stick pattern of Ac5La3Sm3 was simulated for a wavelength of 1.5418 Å.
Lines closer than 0.1° are merged.

Structural model:
```
data_Ac5La3Sm3
_chemical_formula_sum 'Ac5 La3 Sm3'
_symmetry_space_group_name_H-M 'P 1'
_symmetry_Int_Tables_number 1
_cell_length_a 3.846
_cell_length_b 10.827
_cell_length_c 12.048
_cell_angle_alpha 116.69
_cell_angle_beta 90.01
_cell_angle_gamma 90.03
loop_
_symmetry_equiv_pos_as_xyz
'x,y,z'
loop_
_atom_site_label
_atom_site_type_symbol
_atom_site_fract_x
_atom_site_fract_y
_atom_site_fract_z
_atom_site_occupancy
Ac1 Ac 0.000 0.000 0.000 1
Ac2 Ac 0.000 0.066 0.367 1
Ac3 Ac 0.000 0.388 0.012 1
Ac4 Ac 0.005 0.689 0.378 1
Ac5 Ac 0.499 0.301 0.689 1
La1 La 0.500 0.753 0.125 1
La2 La 0.501 0.317 0.253 1
La3 La 0.996 0.012 0.689 1
Sm1 Sm 0.000 0.619 0.855 1
Sm2 Sm 0.500 0.746 0.689 1
Sm3 Sm 0.999 0.453 0.523 1
```

Principal peaks in the range 10 to 90 degrees two-theta, by angle:
2θ 24.82, d = 3.587 Å, rel. 28, (0 0 3)
2θ 27.67, d = 3.224 Å, rel. 68, (0 3 0)
2θ 28.52, d = 3.129 Å, rel. 57, (1 0 2)
2θ 29.68, d = 3.010 Å, rel. 100, (1 -2 0)
2θ 29.88, d = 2.991 Å, rel. 56, (0 2 2)
2θ 30.21, d = 2.958 Å, rel. 26, (0 1 -4)
2θ 32.29, d = 2.772 Å, rel. 37, (-1 1 2)
2θ 33.08, d = 2.708 Å, rel. 35, (0 4 -2)
2θ 34.33, d = 2.612 Å, rel. 24, (1 3 -1)
2θ 51.63, d = 1.770 Å, rel. 23, (0 5 -6)

(2)
Starting from the GGA-PBE geometry in Alexandria, the X-ray diffraction stick pattern of TbPaCo was simulated for a wavelength of 1.5418 Å.
Lines closer than 0.1° are merged.

Structural model:
```
data_TbPaCo
_chemical_formula_sum 'Tb4 Pa4 Co4'
_symmetry_space_group_name_H-M 'P 1 21/c 1'
_symmetry_Int_Tables_number 14
_cell_length_a 6.871
_cell_length_b 5.950
_cell_length_c 6.773
_cell_angle_alpha 90.00
_cell_angle_beta 105.61
_cell_angle_gamma 90.00
loop_
_symmetry_equiv_pos_as_xyz
'x,y,z'
'-x,-y,-z'
'-x,y+1/2,-z+1/2'
'x,-y+1/2,z+1/2'
loop_
_atom_site_label
_atom_site_type_symbol
_atom_site_fract_x
_atom_site_fract_y
_atom_site_fract_z
_atom_site_occupancy
Tb1 Tb 0.149 0.143 0.360 1
Pa1 Pa 0.407 0.650 0.311 1
Co1 Co 0.173 0.632 0.513 1
```

Principal peaks in the range 10 to 90 degrees two-theta, by angle:
2θ 30.73, d = 2.909 Å, rel. 43, (2 1 -1)
2θ 30.95, d = 2.889 Å, rel. 100, (2 1 0)
2θ 33.10, d = 2.707 Å, rel. 83, (0 2 1)
2θ 33.75, d = 2.656 Å, rel. 49, (1 0 2)
2θ 36.35, d = 2.471 Å, rel. 48, (2 1 -2)
2θ 36.84, d = 2.440 Å, rel. 19, (2 1 1)
2θ 37.27, d = 2.413 Å, rel. 48, (1 2 1)
2θ 42.90, d = 2.108 Å, rel. 41, (3 0 -2)
2θ 53.78, d = 1.705 Å, rel. 23, (2 3 -1)
2θ 62.41, d = 1.488 Å, rel. 53, (4 2 -1)

(3)
Starting from the GGA-PBE geometry in Alexandria, the X-ray diffraction stick pattern of Pr3RuCl3 was simulated for a wavelength of 1.5418 Å.
Lines closer than 0.1° are merged.

Structural model:
```
data_Pr3RuCl3
_chemical_formula_sum 'Pr12 Ru4 Cl12'
_symmetry_space_group_name_H-M 'P n m a'
_symmetry_Int_Tables_number 62
_cell_length_a 14.386
_cell_length_b 4.190
_cell_length_c 12.594
_cell_angle_alpha 90.00
_cell_angle_beta 90.00
_cell_angle_gamma 90.00
loop_
_symmetry_equiv_pos_as_xyz
'x,y,z'
'-x,-y,-z'
'-x+1/2,-y,z+1/2'
'x+1/2,y,-z+1/2'
'x+1/2,-y+1/2,-z+1/2'
'-x+1/2,y+1/2,z+1/2'
'-x,y+1/2,-z'
'x,-y+1/2,z'
loop_
_atom_site_label
_atom_site_type_symbol
_atom_site_fract_x
_atom_site_fract_y
_atom_site_fract_z
_atom_site_occupancy
Pr1 Pr 0.087 0.250 0.175 1
Pr2 Pr 0.106 0.250 0.678 1
Pr3 Pr 0.134 0.750 0.428 1
Ru1 Ru 0.010 0.250 0.399 1
Cl1 Cl 0.038 0.250 0.896 1
Cl2 Cl 0.206 0.750 0.075 1
Cl3 Cl 0.237 0.750 0.791 1
```

Principal peaks in the range 10 to 90 degrees two-theta, by angle:
2θ 12.31, d = 7.193 Å, rel. 55, (2 0 0)
2θ 24.57, d = 3.624 Å, rel. 45, (2 0 3)
2θ 28.42, d = 3.140 Å, rel. 100, (2 1 2)
2θ 31.72, d = 2.821 Å, rel. 66, (3 1 2)
2θ 32.82, d = 2.729 Å, rel. 50, (4 1 0)
2θ 34.06, d = 2.632 Å, rel. 75, (3 0 4)
2θ 36.23, d = 2.480 Å, rel. 41, (1 1 4)
2θ 40.65, d = 2.220 Å, rel. 83, (5 1 2)
2θ 43.18, d = 2.095 Å, rel. 45, (0 2 0)
2θ 50.26, d = 1.815 Å, rel. 52, (2 1 6)

(4)
Starting from the GGA-PBE geometry in Alexandria, the X-ray diffraction stick pattern of Sc4AlPbN was simulated for a wavelength of 1.5418 Å.
Lines closer than 0.1° are merged.

Structural model:
```
data_Sc4AlPbN
_chemical_formula_sum 'Sc16 Al4 Pb4 N4'
_symmetry_space_group_name_H-M 'C m c m'
_symmetry_Int_Tables_number 63
_symmetry_space_group_name_Hall '-C 2c 2'
_cell_length_a 6.188
_cell_length_b 15.003
_cell_length_c 6.191
_cell_angle_alpha 90.00
_cell_angle_beta 90.00
_cell_angle_gamma 90.00
loop_
_atom_site_label
_atom_site_type_symbol
_atom_site_fract_x
_atom_site_fract_y
_atom_site_fract_z
_atom_site_occupancy
Sc1 Sc 0.000 0.093 0.250 1
Sc2 Sc 0.000 0.402 0.250 1
Sc3 Sc 0.250 0.250 0.000 1
Al1 Al 0.000 0.111 0.750 1
Pb1 Pb 0.000 0.397 0.750 1
N1 N 0.000 0.249 0.250 1
```

Principal peaks in the range 10 to 90 degrees two-theta, by angle:
2θ 15.49, d = 5.720 Å, rel. 72, (1 1 0)
2θ 18.58, d = 4.775 Å, rel. 68, (0 2 1)
2θ 27.07, d = 3.293 Å, rel. 40, (1 3 1)
2θ 28.85, d = 3.095 Å, rel. 53, (2 0 0)
2θ 31.27, d = 2.861 Å, rel. 42, (2 2 0)
2θ 34.55, d = 2.596 Å, rel. 31, (2 2 1)
2θ 35.92, d = 2.500 Å, rel. 30, (0 6 0)
2θ 37.68, d = 2.387 Å, rel. 100, (2 4 0)
2θ 41.26, d = 2.188 Å, rel. 59, (2 0 2)
2θ 55.83, d = 1.647 Å, rel. 32, (2 6 2)

(5)
Starting from the GGA-PBE geometry in Alexandria, the X-ray diffraction stick pattern of Si2Sn2Au was simulated for a wavelength of 1.5418 Å.
Lines closer than 0.1° are merged.

Structural model:
```
data_Si2Sn2Au
_chemical_formula_sum 'Si4 Sn4 Au2'
_symmetry_space_group_name_H-M 'P 4/m b m'
_symmetry_Int_Tables_number 127
_symmetry_space_group_name_Hall '-P 4 2ab'
_cell_length_a 6.322
_cell_length_b 6.322
_cell_length_c 5.501
_cell_angle_alpha 90.00
_cell_angle_beta 90.00
_cell_angle_gamma 90.00
loop_
_atom_site_label
_atom_site_type_symbol
_atom_site_fract_x
_atom_site_fract_y
_atom_site_fract_z
_atom_site_occupancy
Si1 Si 0.131 0.369 0.000 1
Sn1 Sn 0.185 0.685 0.500 1
Au1 Au 0.000 0.000 0.000 1
```

Principal peaks in the range 10 to 90 degrees two-theta, by angle:
2θ 19.86, d = 4.470 Å, rel. 22, (1 1 0)
2θ 25.68, d = 3.469 Å, rel. 61, (1 1 1)
2θ 32.55, d = 2.751 Å, rel. 48, (0 0 2)
2θ 32.67, d = 2.741 Å, rel. 100, (2 0 1)
2θ 35.71, d = 2.515 Å, rel. 51, (2 1 1)
2θ 40.35, d = 2.235 Å, rel. 21, (2 2 0)
2θ 45.36, d = 1.999 Å, rel. 32, (3 1 0)
2θ 52.77, d = 1.735 Å, rel. 20, (2 2 2)
2θ 56.94, d = 1.617 Å, rel. 33, (3 1 2)
2θ 58.16, d = 1.586 Å, rel. 20, (2 0 3)

(6)
Starting from the GGA-PBE geometry in Alexandria, the X-ray diffraction stick pattern of Cs2GeSbS4 was simulated for a wavelength of 1.5418 Å.
Lines closer than 0.1° are merged.

Structural model:
```
data_Cs2GeSbS4
_chemical_formula_sum 'Cs4 Ge2 Sb2 S8'
_symmetry_space_group_name_H-M 'P m m n'
_symmetry_Int_Tables_number 59
_cell_length_a 7.675
_cell_length_b 9.182
_cell_length_c 8.099
_cell_angle_alpha 90.00
_cell_angle_beta 90.00
_cell_angle_gamma 90.00
loop_
_symmetry_equiv_pos_as_xyz
'x,y,z'
'-x,-y,-z'
'-x+1/2,-y+1/2,z'
'x+1/2,y+1/2,-z'
'x+1/2,-y,-z'
'-x+1/2,y,z'
'-x,y+1/2,-z'
'x,-y+1/2,z'
loop_
_atom_site_label
_atom_site_type_symbol
_atom_site_fract_x
_atom_site_fract_y
_atom_site_fract_z
_atom_site_occupancy
Cs1 Cs 0.250 0.010 0.246 1
Ge1 Ge 0.250 0.750 0.841 1
Sb1 Sb 0.250 0.250 0.779 1
S1 S 0.002 0.250 0.980 1
S2 S 0.250 0.538 0.691 1
```

Principal peaks in the range 10 to 90 degrees two-theta, by angle:
2θ 10.92, d = 8.099 Å, rel. 16, (0 0 1)
2θ 21.95, d = 4.049 Å, rel. 36, (0 0 2)
2θ 23.18, d = 3.838 Å, rel. 43, (2 0 0)
2θ 25.14, d = 3.543 Å, rel. 100, (1 2 1)
2θ 32.14, d = 2.785 Å, rel. 48, (2 0 2)
2θ 39.25, d = 2.295 Å, rel. 20, (0 4 0)
2θ 40.51, d = 2.227 Å, rel. 20, (1 2 3)
2θ 41.94, d = 2.154 Å, rel. 26, (3 2 1)
2θ 46.08, d = 1.970 Å, rel. 12, (2 4 0)
2θ 51.60, d = 1.771 Å, rel. 22, (2 4 2)